1.
Starting from a crystal structure in Alexandria, relaxed with PBE, the powder diffractogram of BeHgF4 was calculated for Cu Ka.

Structure:
```
data_BeHgF4
_chemical_formula_sum 'Be3 Hg3 F12'
_cell_length_a 4.8261
_cell_length_b 4.8261
_cell_length_c 11.7640
_cell_angle_alpha 90.00
_cell_angle_beta 90.00
_cell_angle_gamma 120.00
_space_group_name_H-M_alt 'P 31 2 1'
_space_group_IT_number 152
_space_group_name_Hall 'P 31 2"'
loop_
_atom_site_label
_atom_site_type_symbol
_atom_site_fract_x
_atom_site_fract_y
_atom_site_fract_z
Be1 Be 0.0000 0.3254 0.1667
Hg1 Hg 0.0000 0.3860 0.6667
F1 F 0.0070 0.5192 0.2741
F2 F 0.0162 0.7173 0.5122
```

Most intense lines, 15 to 90 degrees two-theta, by angle:
two_theta  Rel. int.  index
22.6  100  0 0 3
26.2  80  0 1 2
37.3  23  1 1 0
37.4  24  1 0 4
44.0  50  1 1 3
44.2  23  0 1 5



2.
Starting from a crystal structure in Alexandria, relaxed with PBE, the powder diffractogram of KHoBe2F8 was calculated for Cu Ka.

Structure:
```
data_KHoBe2F8
_chemical_formula_sum 'K2 Ho2 Be4 F16'
_cell_length_a 8.507
_cell_length_b 5.525
_cell_length_c 8.126
_cell_angle_alpha 90.00
_cell_angle_beta 92.27
_cell_angle_gamma 90.00
_space_group_name_H-M_alt 'C 1 2/m 1'
_space_group_IT_number 12
_space_group_name_Hall '-C 2y'
loop_
_atom_site_label
_atom_site_type_symbol
_atom_site_fract_x
_atom_site_fract_y
_atom_site_fract_z
K1 K 0.000 0.000 0.000
Ho1 Ho 0.000 0.000 0.500
Be1 Be 0.132 0.500 0.274
F1 F 0.027 0.266 0.304
F2 F 0.203 0.500 0.110
F3 F 0.247 0.000 0.571
```

Most intense lines, 15 to 90 degrees two-theta, by angle:
two_theta  Rel. int.  index
19.2  92  1 1 0
20.9  52  2 0 0
21.9  100  1 1 -1
28.9  50  1 1 -2
29.6  50  1 1 2
39.5  38  0 2 2



3.
Starting from a crystal structure in Alexandria, relaxed with PBE, the powder diffractogram of HoBeNF6 was calculated for Cu Ka.

Structure:
```
data_HoBeNF6
_chemical_formula_sum 'Ho2 Be2 N2 F12'
_cell_length_a 6.711
_cell_length_b 5.842
_cell_length_c 7.668
_cell_angle_alpha 90.00
_cell_angle_beta 114.34
_cell_angle_gamma 90.00
_space_group_name_H-M_alt 'P 1 21/m 1'
_space_group_IT_number 11
_space_group_name_Hall '-P 2yb'
loop_
_atom_site_label
_atom_site_type_symbol
_atom_site_fract_x
_atom_site_fract_y
_atom_site_fract_z
Ho1 Ho 0.124 0.250 0.236
Be1 Be 0.283 0.750 0.557
N1 N 0.235 0.250 0.869
F1 F 0.139 0.750 0.672
F2 F 0.149 0.053 0.959
F3 F 0.231 0.534 0.424
F4 F 0.471 0.250 0.304
```

Most intense lines, 15 to 90 degrees two-theta, by angle:
two_theta  Rel. int.  index
19.8  100  0 1 1
21.0  32  1 1 0
27.6  31  1 1 1
28.1  20  1 1 -2
40.2  25  0 2 2
48.5  20  0 3 1



4.
Starting from a crystal structure in Alexandria, relaxed with PBE, the powder diffractogram of BeI2F was calculated for Cu Ka.

Structure:
```
data_BeI2F
_chemical_formula_sum 'Be4 I8 F4'
_cell_length_a 6.499
_cell_length_b 6.499
_cell_length_c 10.233
_cell_angle_alpha 90.00
_cell_angle_beta 90.00
_cell_angle_gamma 90.00
_space_group_name_H-M_alt 'I -4 2 d'
_space_group_IT_number 122
_space_group_name_Hall 'I -4 2bw'
loop_
_atom_site_label
_atom_site_type_symbol
_atom_site_fract_x
_atom_site_fract_y
_atom_site_fract_z
Be1 Be 0.000 0.000 0.000
I1 I 0.195 0.250 0.125
F1 F 0.000 0.000 0.500
```

Most intense lines, 15 to 90 degrees two-theta, by angle:
two_theta  Rel. int.  index
26.1  100  1 1 2
27.4  29  2 0 0
32.0  19  2 1 1
39.2  14  2 2 0
45.1  24  2 0 4
47.7  22  3 1 2



5.
Starting from a crystal structure in Alexandria, relaxed with PBE, the powder diffractogram of BeInF6 was calculated for Cu Ka.

Structure:
```
data_BeInF6
_chemical_formula_sum 'Be3 In3 F18'
_cell_length_a 5.0002
_cell_length_b 5.0002
_cell_length_c 13.3855
_cell_angle_alpha 90.00
_cell_angle_beta 90.00
_cell_angle_gamma 120.00
_space_group_name_H-M_alt 'R -3'
_space_group_IT_number 148
_space_group_name_Hall '-R 3'
loop_
_atom_site_label
_atom_site_type_symbol
_atom_site_fract_x
_atom_site_fract_y
_atom_site_fract_z
Be1 Be 0.0000 0.0000 0.0000
In1 In 0.0000 0.0000 0.5000
F1 F 0.0225 0.7276 0.0756
```

Most intense lines, 15 to 90 degrees two-theta, by angle:
two_theta  Rel. int.  index
19.9  22  0 0 3
21.6  55  1 0 1
24.5  100  0 1 2
33.9  25  1 0 4
41.4  52  2 -1 3
55.2  28  1 1 6



6.
Starting from a crystal structure in Alexandria, relaxed with PBE, the powder diffractogram of BeInRhF2 was calculated for Cu Ka.

Structure:
```
data_BeInRhF2
_chemical_formula_sum 'Be1 In1 Rh1 F2'
_cell_length_a 4.036
_cell_length_b 4.036
_cell_length_c 5.495
_cell_angle_alpha 90.00
_cell_angle_beta 90.00
_cell_angle_gamma 90.00
_space_group_name_H-M_alt 'P 4/m m m'
_space_group_IT_number 123
_space_group_name_Hall '-P 4 2'
loop_
_atom_site_label
_atom_site_type_symbol
_atom_site_fract_x
_atom_site_fract_y
_atom_site_fract_z
Be1 Be 0.000 0.000 0.000
In1 In 0.500 0.500 0.000
Rh1 Rh 0.500 0.500 0.500
F1 F 0.000 0.500 0.500
```

Most intense lines, 15 to 90 degrees two-theta, by angle:
two_theta  Rel. int.  index
22.0  100  1 0 0
31.3  31  1 1 0
32.6  29  0 0 2
39.7  43  1 0 2
44.9  23  2 0 0
61.5  23  2 1 2



7.
Starting from a crystal structure in Alexandria, relaxed with PBE, the powder diffractogram of BeIrF was calculated for Cu Ka.

Structure:
```
data_BeIrF
_chemical_formula_sum 'Be2 Ir2 F2'
_cell_length_a 4.555
_cell_length_b 2.660
_cell_length_c 6.737
_cell_angle_alpha 90.00
_cell_angle_beta 105.04
_cell_angle_gamma 90.00
_space_group_name_H-M_alt 'P 1 m 1'
_space_group_IT_number 6
_space_group_name_Hall 'P -2y'
loop_
_atom_site_label
_atom_site_type_symbol
_atom_site_fract_x
_atom_site_fract_y
_atom_site_fract_z
Be1 Be 0.000 0.000 0.000
Be2 Be 0.450 0.000 0.381
Ir1 Ir 0.468 0.500 0.644
Ir2 Ir 0.976 0.000 0.649
F1 F 0.346 0.000 0.151
F2 F 0.870 0.500 0.075
```

Most intense lines, 15 to 90 degrees two-theta, by angle:
two_theta  Rel. int.  index
27.4  100  0 0 2
39.6  57  1 1 0
40.2  75  1 1 -1
41.0  33  2 0 0
43.9  56  1 1 1
45.5  39  1 1 -2



8.
Starting from a crystal structure in Alexandria, relaxed with PBE, the powder diffractogram of KBeF4 was calculated for Cu Ka.

Structure:
```
data_KBeF4
_chemical_formula_sum 'K2 Be2 F8'
_cell_length_a 4.985
_cell_length_b 4.985
_cell_length_c 7.269
_cell_angle_alpha 90.00
_cell_angle_beta 90.00
_cell_angle_gamma 90.00
_space_group_name_H-M_alt 'P 42/n m c'
_space_group_IT_number 137
loop_
_space_group_symop_operation_xyz
'x,y,z'
'-x,-y,-z'
'-y+1/2,x,z+1/2'
'y+1/2,-x,-z+1/2'
'-x+1/2,-y+1/2,z'
'x+1/2,y+1/2,-z'
'y,-x+1/2,z+1/2'
'-y,x+1/2,-z+1/2'
'x+1/2,-y,-z'
'-x+1/2,y,z'
'-y,-x,-z+1/2'
'y,x,z+1/2'
'-x,y+1/2,-z'
'x,-y+1/2,z'
'y+1/2,x+1/2,-z+1/2'
'-y+1/2,-x+1/2,z+1/2'
loop_
_atom_site_label
_atom_site_type_symbol
_atom_site_fract_x
_atom_site_fract_y
_atom_site_fract_z
K1 K 0.250 0.750 0.250
Be1 Be 0.250 0.750 0.750
F1 F 0.010 0.750 0.615
```

Most intense lines, 15 to 90 degrees two-theta, by angle:
two_theta  Rel. int.  index
25.3  92  1 1 0
30.4  56  1 0 2
35.5  54  1 1 2
38.2  72  2 0 1
41.4  75  1 0 3
42.4  100  2 1 1



9.
Starting from a crystal structure in Alexandria, relaxed with PBE, the powder diffractogram of K2Be2F7 was calculated for Cu Ka.

Structure:
```
data_K2Be2F7
_chemical_formula_sum 'K4 Be4 F14'
_cell_length_a 7.526
_cell_length_b 8.449
_cell_length_c 5.104
_cell_angle_alpha 90.00
_cell_angle_beta 95.21
_cell_angle_gamma 90.00
_space_group_name_H-M_alt 'C 1 2/m 1'
_space_group_IT_number 12
_space_group_name_Hall '-C 2y'
loop_
_atom_site_label
_atom_site_type_symbol
_atom_site_fract_x
_atom_site_fract_y
_atom_site_fract_z
K1 K 0.000 0.239 0.000
Be1 Be 0.214 0.500 0.523
F1 F 0.000 0.500 0.500
F2 F 0.220 0.000 0.188
F3 F 0.223 0.142 0.643
```

Most intense lines, 15 to 90 degrees two-theta, by angle:
two_theta  Rel. int.  index
27.5  100  0 2 1
28.3  58  2 0 -1
30.9  60  2 0 1
31.9  73  2 2 0
37.7  87  2 2 1
37.9  70  1 3 -1



10.
Starting from a crystal structure in Alexandria, relaxed with PBE, the powder diffractogram of K2BeF5 was calculated for Cu Ka.

Structure:
```
data_K2BeF5
_chemical_formula_sum 'K4 Be2 F10'
_cell_length_a 5.772
_cell_length_b 5.772
_cell_length_c 7.984
_cell_angle_alpha 90.00
_cell_angle_beta 90.00
_cell_angle_gamma 90.00
_space_group_name_H-M_alt 'I 4 m m'
_space_group_IT_number 107
_space_group_name_Hall 'I 4 -2'
loop_
_atom_site_label
_atom_site_type_symbol
_atom_site_fract_x
_atom_site_fract_y
_atom_site_fract_z
K1 K 0.000 0.500 0.000
Be1 Be 0.000 0.000 0.292
F1 F 0.000 0.000 0.484
F2 F 0.199 0.199 0.234
```

Most intense lines, 15 to 90 degrees two-theta, by angle:
two_theta  Rel. int.  index
19.0  43  1 0 1
21.8  21  1 1 0
31.3  41  1 1 2
38.5  100  2 0 2
44.4  31  2 2 0
45.4  18  0 0 4



11.
Starting from a crystal structure in Alexandria, relaxed with PBE, the powder diffractogram of K2Be2F5 was calculated for Cu Ka.

Structure:
```
data_K2Be2F5
_chemical_formula_sum 'K4 Be4 F10'
_cell_length_a 8.346
_cell_length_b 4.352
_cell_length_c 9.645
_cell_angle_alpha 90.00
_cell_angle_beta 103.47
_cell_angle_gamma 90.00
_space_group_name_H-M_alt 'C 1 2/m 1'
_space_group_IT_number 12
_space_group_name_Hall '-C 2y'
loop_
_atom_site_label
_atom_site_type_symbol
_atom_site_fract_x
_atom_site_fract_y
_atom_site_fract_z
K1 K 0.079 0.000 0.311
Be1 Be 0.155 0.500 0.939
F1 F 0.000 0.500 0.000
F2 F 0.128 0.500 0.782
F3 F 0.177 0.000 0.958
```

Most intense lines, 15 to 90 degrees two-theta, by angle:
two_theta  Rel. int.  index
25.5  78  2 0 -2
26.0  100  1 1 1
28.5  42  0 0 3
39.1  47  1 1 3
41.5  45  0 2 0
42.3  49  3 1 1



12.
Starting from a crystal structure in Alexandria, relaxed with PBE, the powder diffractogram of KLuBeF6 was calculated for Cu Ka.

Structure:
```
data_KLuBeF6
_chemical_formula_sum 'K2 Lu2 Be2 F12'
_cell_length_a 6.398
_cell_length_b 5.730
_cell_length_c 7.033
_cell_angle_alpha 90.00
_cell_angle_beta 113.35
_cell_angle_gamma 90.00
_space_group_name_H-M_alt 'P 1 21/m 1'
_space_group_IT_number 11
_space_group_name_Hall '-P 2yb'
loop_
_atom_site_label
_atom_site_type_symbol
_atom_site_fract_x
_atom_site_fract_y
_atom_site_fract_z
K1 K 0.072 0.250 0.203
Lu1 Lu 0.392 0.250 0.824
Be1 Be 0.231 0.750 0.461
F1 F 0.003 0.750 0.263
F2 F 0.238 0.530 0.595
F3 F 0.323 0.501 0.032
F4 F 0.435 0.750 0.397
```

Most intense lines, 15 to 90 degrees two-theta, by angle:
two_theta  Rel. int.  index
15.1  56  1 0 0
15.9  89  1 0 -1
20.7  98  0 1 1
21.7  44  1 1 0
28.8  100  1 1 1
30.1  77  1 1 -2